(1)
AlFeI6: simulated powder diffraction line list (copper Kα), based on a cell relaxed with PBE.

Cell and atoms:
```
data_AlFeI6
_chemical_formula_sum 'Al1 Fe1 I6'
_cell_length_a 7.569
_cell_length_b 7.569
_cell_length_c 7.569
_cell_angle_alpha 60.00
_cell_angle_beta 60.00
_cell_angle_gamma 60.00
_symmetry_space_group_name_H-M 'P 1'
_symmetry_Int_Tables_number 1
loop_
_symmetry_equiv_pos_as_xyz
'x,y,z'
loop_
_atom_site_label
_atom_site_type_symbol
_atom_site_fract_x
_atom_site_fract_y
_atom_site_fract_z
_atom_site_occupancy
Al1 Al 0.000 0.000 0.000 1
Fe1 Fe 0.750 0.750 0.750 1
I1 I 0.503 0.503 0.997 1
I2 I 0.503 0.997 0.503 1
I3 I 0.503 0.997 0.997 1
I4 I 0.997 0.503 0.503 1
I5 I 0.997 0.503 0.997 1
I6 I 0.997 0.997 0.503 1
```

Peak list (10 most intense, 5° ≤ 2θ ≤ 70°, low angle first)
2θ/deg, I_rel
14.33, 6.7
16.56, 45.0
23.51, 12.9
28.89, 100.0
33.48, 68.7
37.58, 22.7
48.08, 48.6
51.20, 11.4
57.07, 43.0
59.86, 16.6


(2)
AlInFe2: simulated powder diffraction line list (copper Kα), based on a cell relaxed with PBE.

Cell and atoms:
```
data_AlInFe2
_chemical_formula_sum 'Al4 In4 Fe8'
_cell_length_a 6.009
_cell_length_b 6.009
_cell_length_c 6.009
_cell_angle_alpha 90.00
_cell_angle_beta 90.00
_cell_angle_gamma 90.00
_symmetry_space_group_name_H-M 'P 1'
_symmetry_Int_Tables_number 1
loop_
_symmetry_equiv_pos_as_xyz
'x,y,z'
loop_
_atom_site_label
_atom_site_type_symbol
_atom_site_fract_x
_atom_site_fract_y
_atom_site_fract_z
_atom_site_occupancy
Al1 Al 0.000 0.000 0.000 1
Al2 Al 0.000 0.000 0.500 1
Al3 Al 0.000 0.500 0.000 1
Al4 Al 0.500 0.000 0.000 1
In1 In 0.000 0.500 0.500 1
In2 In 0.500 0.000 0.500 1
In3 In 0.500 0.500 0.000 1
In4 In 0.500 0.500 0.500 1
Fe1 Fe 0.234 0.234 0.234 1
Fe2 Fe 0.234 0.234 0.766 1
Fe3 Fe 0.234 0.766 0.234 1
Fe4 Fe 0.234 0.766 0.766 1
Fe5 Fe 0.766 0.234 0.234 1
Fe6 Fe 0.766 0.234 0.766 1
Fe7 Fe 0.766 0.766 0.234 1
Fe8 Fe 0.766 0.766 0.766 1
```

Peak list (10 most intense, 5° ≤ 2θ ≤ 70°, low angle first)
2θ/deg, I_rel
14.74, 10.7
25.68, 8.0
29.73, 1.6
33.34, 19.6
42.55, 100.0
45.27, 7.0
50.36, 3.7
61.75, 15.0
63.87, 6.3
68.00, 1.5


(3)
Lu2AlInFe4: simulated powder diffraction line list (copper Kα), based on a cell relaxed with PBE.

Cell and atoms:
```
data_Lu2AlInFe4
_chemical_formula_sum 'Lu2 Al1 In1 Fe4'
_cell_length_a 3.968
_cell_length_b 4.916
_cell_length_c 6.894
_cell_angle_alpha 90.00
_cell_angle_beta 90.00
_cell_angle_gamma 90.00
_symmetry_space_group_name_H-M 'P 1'
_symmetry_Int_Tables_number 1
loop_
_symmetry_equiv_pos_as_xyz
'x,y,z'
loop_
_atom_site_label
_atom_site_type_symbol
_atom_site_fract_x
_atom_site_fract_y
_atom_site_fract_z
_atom_site_occupancy
Lu1 Lu 0.000 0.000 0.000 1
Lu2 Lu 0.000 0.500 0.400 1
Al1 Al 0.500 0.500 0.037 1
In1 In 0.500 0.000 0.345 1
Fe1 Fe 0.000 0.000 0.616 1
Fe2 Fe 0.000 0.500 0.801 1
Fe3 Fe 0.500 0.250 0.708 1
Fe4 Fe 0.500 0.750 0.708 1
```

Peak list (10 most intense, 5° ≤ 2θ ≤ 70°, low angle first)
2θ/deg, I_rel
22.21, 17.8
31.75, 100.0
34.47, 25.8
36.55, 25.3
39.18, 92.8
43.30, 25.0
43.47, 18.4
45.32, 28.1
45.73, 29.1
59.88, 18.2


(4)
Tm2AlInFe4: simulated powder diffraction line list (copper Kα), based on a cell relaxed with PBE.

Cell and atoms:
```
data_Tm2AlInFe4
_chemical_formula_sum 'Tm2 Al1 In1 Fe4'
_cell_length_a 3.964
_cell_length_b 4.941
_cell_length_c 6.946
_cell_angle_alpha 90.00
_cell_angle_beta 90.00
_cell_angle_gamma 90.00
_symmetry_space_group_name_H-M 'P 1'
_symmetry_Int_Tables_number 1
loop_
_symmetry_equiv_pos_as_xyz
'x,y,z'
loop_
_atom_site_label
_atom_site_type_symbol
_atom_site_fract_x
_atom_site_fract_y
_atom_site_fract_z
_atom_site_occupancy
Tm1 Tm 0.000 0.000 0.000 1
Tm2 Tm 0.000 0.500 0.400 1
Al1 Al 0.500 0.500 0.034 1
In1 In 0.500 0.000 0.347 1
Fe1 Fe 0.000 0.000 0.618 1
Fe2 Fe 0.000 0.500 0.799 1
Fe3 Fe 0.500 0.249 0.707 1
Fe4 Fe 0.500 0.751 0.707 1
```

Peak list (10 most intense, 5° ≤ 2θ ≤ 70°, low angle first)
2θ/deg, I_rel
22.08, 18.3
31.68, 100.0
34.33, 27.3
36.37, 28.0
38.90, 26.3
39.00, 78.2
43.15, 47.9
45.03, 20.6
45.78, 32.2
49.16, 15.6


(5)
LaAl8Fe2: simulated powder diffraction line list (copper Kα), based on a cell relaxed with PBE.

Cell and atoms:
```
data_LaAl8Fe2
_chemical_formula_sum 'La4 Al32 Fe8'
_cell_length_a 12.530
_cell_length_b 14.452
_cell_length_c 4.036
_cell_angle_alpha 90.00
_cell_angle_beta 90.00
_cell_angle_gamma 90.00
_symmetry_space_group_name_H-M 'P 1'
_symmetry_Int_Tables_number 1
loop_
_symmetry_equiv_pos_as_xyz
'x,y,z'
loop_
_atom_site_label
_atom_site_type_symbol
_atom_site_fract_x
_atom_site_fract_y
_atom_site_fract_z
_atom_site_occupancy
La1 La 0.160 0.182 0.000 1
La2 La 0.340 0.682 0.000 1
La3 La 0.660 0.318 0.000 1
La4 La 0.840 0.818 0.000 1
Al1 Al 0.000 0.000 0.000 1
Al2 Al 0.000 0.500 0.500 1
Al3 Al 0.027 0.868 0.500 1
Al4 Al 0.048 0.322 0.500 1
Al5 Al 0.093 0.746 0.000 1
Al6 Al 0.157 0.620 0.500 1
Al7 Al 0.163 0.454 0.000 1
Al8 Al 0.168 0.006 0.500 1
Al9 Al 0.234 0.829 0.500 1
Al10 Al 0.266 0.329 0.500 1
Al11 Al 0.332 0.506 0.500 1
Al12 Al 0.337 0.954 0.000 1
Al13 Al 0.343 0.120 0.500 1
Al14 Al 0.407 0.246 0.000 1
Al15 Al 0.452 0.822 0.500 1
Al16 Al 0.473 0.368 0.500 1
Al17 Al 0.500 0.000 0.500 1
Al18 Al 0.500 0.500 0.000 1
Al19 Al 0.527 0.632 0.500 1
Al20 Al 0.548 0.178 0.500 1
Al21 Al 0.593 0.754 0.000 1
Al22 Al 0.657 0.880 0.500 1
Al23 Al 0.663 0.046 0.000 1
Al24 Al 0.668 0.494 0.500 1
Al25 Al 0.734 0.671 0.500 1
Al26 Al 0.766 0.171 0.500 1
Al27 Al 0.832 0.994 0.500 1
Al28 Al 0.837 0.546 0.000 1
Al29 Al 0.843 0.380 0.500 1
Al30 Al 0.907 0.254 0.000 1
Al31 Al 0.952 0.678 0.500 1
Al32 Al 0.973 0.132 0.500 1
Fe1 Fe 0.034 0.592 0.000 1
Fe2 Fe 0.149 0.902 0.000 1
Fe3 Fe 0.351 0.402 0.000 1
Fe4 Fe 0.466 0.092 0.000 1
Fe5 Fe 0.534 0.908 0.000 1
Fe6 Fe 0.649 0.598 0.000 1
Fe7 Fe 0.851 0.098 0.000 1
Fe8 Fe 0.966 0.408 0.000 1
```

Peak list (10 most intense, 5° ≤ 2θ ≤ 70°, low angle first)
2θ/deg, I_rel
22.02, 48.2
22.15, 45.1
25.66, 30.2
28.28, 30.3
34.07, 86.1
36.13, 100.0
36.85, 43.0
43.97, 37.4
44.91, 53.2
46.29, 41.0


(6)
LaPrAl4Fe2: simulated powder diffraction line list (copper Kα), based on a cell relaxed with PBE.

Cell and atoms:
```
data_LaPrAl4Fe2
_chemical_formula_sum 'La2 Pr2 Al8 Fe4'
_cell_length_a 7.138
_cell_length_b 4.193
_cell_length_c 10.139
_cell_angle_alpha 90.00
_cell_angle_beta 90.00
_cell_angle_gamma 90.00
_symmetry_space_group_name_H-M 'P 1'
_symmetry_Int_Tables_number 1
loop_
_symmetry_equiv_pos_as_xyz
'x,y,z'
loop_
_atom_site_label
_atom_site_type_symbol
_atom_site_fract_x
_atom_site_fract_y
_atom_site_fract_z
_atom_site_occupancy
La1 La 0.000 0.000 0.000 1
La2 La 0.000 0.500 0.500 1
Pr1 Pr 0.500 0.000 0.902 1
Pr2 Pr 0.500 0.500 0.402 1
Al1 Al 0.195 0.000 0.284 1
Al2 Al 0.195 0.500 0.784 1
Al3 Al 0.306 0.000 0.624 1
Al4 Al 0.306 0.500 0.124 1
Al5 Al 0.694 0.000 0.624 1
Al6 Al 0.694 0.500 0.124 1
Al7 Al 0.805 0.000 0.284 1
Al8 Al 0.805 0.500 0.784 1
Fe1 Fe 0.000 0.000 0.760 1
Fe2 Fe 0.000 0.500 0.260 1
Fe3 Fe 0.500 0.000 0.164 1
Fe4 Fe 0.500 0.500 0.664 1
```

Peak list (10 most intense, 5° ≤ 2θ ≤ 70°, low angle first)
2θ/deg, I_rel
22.95, 63.3
24.95, 41.6
30.64, 15.3
34.15, 100.0
36.39, 54.1
37.66, 46.8
43.15, 24.7
51.80, 20.3
56.80, 14.6
58.59, 25.0


(7)
La3AlFeS7: simulated powder diffraction line list (copper Kα), based on a cell relaxed with PBE.

Cell and atoms:
```
data_La3AlFeS7
_chemical_formula_sum 'La6 Al2 Fe2 S14'
_cell_length_a 10.185
_cell_length_b 5.980
_cell_length_c 10.231
_cell_angle_alpha 90.00
_cell_angle_beta 119.67
_cell_angle_gamma 90.00
_symmetry_space_group_name_H-M 'P 1'
_symmetry_Int_Tables_number 1
loop_
_symmetry_equiv_pos_as_xyz
'x,y,z'
loop_
_atom_site_label
_atom_site_type_symbol
_atom_site_fract_x
_atom_site_fract_y
_atom_site_fract_z
_atom_site_occupancy
La1 La 0.128 0.000 0.362 1
La2 La 0.264 0.499 0.123 1
La3 La 0.363 0.500 0.734 1
La4 La 0.637 0.000 0.266 1
La5 La 0.736 0.999 0.877 1
La6 La 0.872 0.500 0.638 1
Al1 Al 0.167 0.919 0.833 1
Al2 Al 0.833 0.419 0.167 1
Fe1 Fe 0.500 0.280 0.500 1
Fe2 Fe 0.500 0.780 0.500 1
S1 S 0.018 0.774 0.916 1
S2 S 0.084 0.773 0.601 1
S3 S 0.166 0.289 0.831 1
S4 S 0.271 0.540 0.413 1
S5 S 0.354 0.040 0.267 1
S6 S 0.400 0.774 0.981 1
S7 S 0.415 0.040 0.644 1
S8 S 0.585 0.540 0.356 1
S9 S 0.600 0.274 0.019 1
S10 S 0.646 0.540 0.733 1
S11 S 0.729 0.040 0.587 1
S12 S 0.834 0.789 0.169 1
S13 S 0.916 0.273 0.399 1
S14 S 0.982 0.274 0.084 1
```

Peak list (10 most intense, 5° ≤ 2θ ≤ 70°, low angle first)
2θ/deg, I_rel
17.90, 65.1
22.89, 55.8
25.00, 100.0
25.08, 50.2
26.58, 45.5
33.92, 41.2
34.76, 41.6
36.25, 70.7
39.75, 50.9
40.42, 37.2


(8)
LiAlFe2Pt4: simulated powder diffraction line list (copper Kα), based on a cell relaxed with PBE.

Cell and atoms:
```
data_LiAlFe2Pt4
_chemical_formula_sum 'Li1 Al1 Fe2 Pt4'
_cell_length_a 4.312
_cell_length_b 4.312
_cell_length_c 6.073
_cell_angle_alpha 90.00
_cell_angle_beta 90.00
_cell_angle_gamma 90.00
_symmetry_space_group_name_H-M 'P 1'
_symmetry_Int_Tables_number 1
loop_
_symmetry_equiv_pos_as_xyz
'x,y,z'
loop_
_atom_site_label
_atom_site_type_symbol
_atom_site_fract_x
_atom_site_fract_y
_atom_site_fract_z
_atom_site_occupancy
Li1 Li 0.000 0.000 0.000 1
Al1 Al 0.500 0.500 0.500 1
Fe1 Fe 0.000 0.000 0.500 1
Fe2 Fe 0.500 0.500 0.000 1
Pt1 Pt 0.000 0.500 0.249 1
Pt2 Pt 0.000 0.500 0.751 1
Pt3 Pt 0.500 0.000 0.249 1
Pt4 Pt 0.500 0.000 0.751 1
```

Peak list (10 most intense, 5° ≤ 2θ ≤ 70°, low angle first)
2θ/deg, I_rel
25.33, 2.3
29.29, 39.0
29.41, 19.3
41.96, 100.0
49.60, 0.7
52.02, 16.7
60.76, 11.2
61.03, 5.5
68.89, 14.8
69.11, 7.3


(9)
LuAl2Fe: simulated powder diffraction line list (copper Kα), based on a cell relaxed with PBE.

Cell and atoms:
```
data_LuAl2Fe
_chemical_formula_sum 'Lu4 Al8 Fe4'
_cell_length_a 6.409
_cell_length_b 6.409
_cell_length_c 6.409
_cell_angle_alpha 90.00
_cell_angle_beta 90.00
_cell_angle_gamma 90.00
_symmetry_space_group_name_H-M 'P 1'
_symmetry_Int_Tables_number 1
loop_
_symmetry_equiv_pos_as_xyz
'x,y,z'
loop_
_atom_site_label
_atom_site_type_symbol
_atom_site_fract_x
_atom_site_fract_y
_atom_site_fract_z
_atom_site_occupancy
Lu1 Lu 0.000 0.000 0.000 1
Lu2 Lu 0.000 0.500 0.500 1
Lu3 Lu 0.500 0.000 0.500 1
Lu4 Lu 0.500 0.500 0.000 1
Al1 Al 0.000 0.000 0.500 1
Al2 Al 0.000 0.500 0.000 1
Al3 Al 0.250 0.250 0.250 1
Al4 Al 0.250 0.750 0.750 1
Al5 Al 0.500 0.000 0.000 1
Al6 Al 0.500 0.500 0.500 1
Al7 Al 0.750 0.250 0.750 1
Al8 Al 0.750 0.750 0.250 1
Fe1 Fe 0.250 0.250 0.750 1
Fe2 Fe 0.250 0.750 0.250 1
Fe3 Fe 0.750 0.250 0.250 1
Fe4 Fe 0.750 0.750 0.750 1
```

Peak list (8 most intense, 5° ≤ 2θ ≤ 70°, low angle first)
2θ/deg, I_rel
24.05, 66.8
27.84, 20.1
39.78, 100.0
47.03, 34.4
49.25, 6.0
57.52, 16.7
63.25, 14.2
65.09, 8.2


(10)
PrMgAl7Fe2: simulated powder diffraction line list (copper Kα), based on a cell relaxed with PBE.

Cell and atoms:
```
data_PrMgAl7Fe2
_chemical_formula_sum 'Pr4 Mg4 Al28 Fe8'
_cell_length_a 12.840
_cell_length_b 14.573
_cell_length_c 3.999
_cell_angle_alpha 90.00
_cell_angle_beta 90.00
_cell_angle_gamma 90.00
_symmetry_space_group_name_H-M 'P 1'
_symmetry_Int_Tables_number 1
loop_
_symmetry_equiv_pos_as_xyz
'x,y,z'
loop_
_atom_site_label
_atom_site_type_symbol
_atom_site_fract_x
_atom_site_fract_y
_atom_site_fract_z
_atom_site_occupancy
Pr1 Pr 0.161 0.182 0.000 1
Pr2 Pr 0.339 0.682 0.000 1
Pr3 Pr 0.661 0.318 0.000 1
Pr4 Pr 0.839 0.818 0.000 1
Mg1 Mg 0.170 0.452 0.000 1
Mg2 Mg 0.330 0.952 0.000 1
Mg3 Mg 0.670 0.048 0.000 1
Mg4 Mg 0.830 0.548 0.000 1
Al1 Al 0.000 0.000 0.000 1
Al2 Al 0.000 0.500 0.500 1
Al3 Al 0.022 0.866 0.500 1
Al4 Al 0.049 0.323 0.500 1
Al5 Al 0.091 0.743 0.000 1
Al6 Al 0.157 0.618 0.500 1
Al7 Al 0.162 0.004 0.500 1
Al8 Al 0.227 0.826 0.500 1
Al9 Al 0.273 0.326 0.500 1
Al10 Al 0.338 0.504 0.500 1
Al11 Al 0.343 0.118 0.500 1
Al12 Al 0.409 0.243 0.000 1
Al13 Al 0.451 0.823 0.500 1
Al14 Al 0.478 0.366 0.500 1
Al15 Al 0.500 0.000 0.500 1
Al16 Al 0.500 0.500 0.000 1
Al17 Al 0.522 0.634 0.500 1
Al18 Al 0.549 0.177 0.500 1
Al19 Al 0.591 0.757 0.000 1
Al20 Al 0.657 0.882 0.500 1
Al21 Al 0.662 0.496 0.500 1
Al22 Al 0.727 0.674 0.500 1
Al23 Al 0.773 0.174 0.500 1
Al24 Al 0.838 0.996 0.500 1
Al25 Al 0.843 0.382 0.500 1
Al26 Al 0.909 0.257 0.000 1
Al27 Al 0.951 0.677 0.500 1
Al28 Al 0.978 0.134 0.500 1
Fe1 Fe 0.033 0.590 0.000 1
Fe2 Fe 0.137 0.897 0.000 1
Fe3 Fe 0.363 0.397 0.000 1
Fe4 Fe 0.467 0.090 0.000 1
Fe5 Fe 0.533 0.910 0.000 1
Fe6 Fe 0.637 0.603 0.000 1
Fe7 Fe 0.863 0.103 0.000 1
Fe8 Fe 0.967 0.410 0.000 1
```

Peak list (10 most intense, 5° ≤ 2θ ≤ 70°, low angle first)
2θ/deg, I_rel
21.64, 37.8
22.23, 38.9
25.41, 29.2
27.78, 32.9
34.01, 66.1
35.87, 100.0
36.42, 45.4
43.10, 29.3
45.36, 41.7
45.82, 28.4


(11)
AlFePb2: simulated powder diffraction line list (copper Kα), based on a cell relaxed with PBE.

Cell and atoms:
```
data_AlFePb2
_chemical_formula_sum 'Al4 Fe4 Pb8'
_cell_length_a 7.032
_cell_length_b 7.032
_cell_length_c 7.032
_cell_angle_alpha 90.00
_cell_angle_beta 90.00
_cell_angle_gamma 90.00
_symmetry_space_group_name_H-M 'P 1'
_symmetry_Int_Tables_number 1
loop_
_symmetry_equiv_pos_as_xyz
'x,y,z'
loop_
_atom_site_label
_atom_site_type_symbol
_atom_site_fract_x
_atom_site_fract_y
_atom_site_fract_z
_atom_site_occupancy
Al1 Al 0.000 0.000 0.000 1
Al2 Al 0.000 0.500 0.500 1
Al3 Al 0.500 0.000 0.500 1
Al4 Al 0.500 0.500 0.000 1
Fe1 Fe 0.250 0.250 0.250 1
Fe2 Fe 0.250 0.750 0.750 1
Fe3 Fe 0.750 0.250 0.750 1
Fe4 Fe 0.750 0.750 0.250 1
Pb1 Pb 0.000 0.000 0.500 1
Pb2 Pb 0.000 0.500 0.000 1
Pb3 Pb 0.250 0.250 0.750 1
Pb4 Pb 0.250 0.750 0.250 1
Pb5 Pb 0.500 0.000 0.000 1
Pb6 Pb 0.500 0.500 0.500 1
Pb7 Pb 0.750 0.250 0.250 1
Pb8 Pb 0.750 0.750 0.750 1
```

Peak list (8 most intense, 5° ≤ 2θ ≤ 70°, low angle first)
2θ/deg, I_rel
21.89, 48.4
25.33, 0.5
36.13, 100.0
42.64, 27.7
52.02, 17.8
57.09, 12.1
64.97, 36.7
69.45, 9.3


(12)
PrAl5FePd: simulated powder diffraction line list (copper Kα), based on a cell relaxed with PBE.

Cell and atoms:
```
data_PrAl5FePd
_chemical_formula_sum 'Pr2 Al10 Fe2 Pd2'
_cell_length_a 4.037
_cell_length_b 7.238
_cell_length_c 9.820
_cell_angle_alpha 90.00
_cell_angle_beta 90.00
_cell_angle_gamma 90.00
_symmetry_space_group_name_H-M 'P 1'
_symmetry_Int_Tables_number 1
loop_
_symmetry_equiv_pos_as_xyz
'x,y,z'
loop_
_atom_site_label
_atom_site_type_symbol
_atom_site_fract_x
_atom_site_fract_y
_atom_site_fract_z
_atom_site_occupancy
Pr1 Pr 0.000 0.000 0.000 1
Pr2 Pr 0.500 0.500 0.500 1
Al1 Al 0.000 0.182 0.665 1
Al2 Al 0.000 0.197 0.353 1
Al3 Al 0.000 0.500 0.013 1
Al4 Al 0.000 0.803 0.353 1
Al5 Al 0.000 0.818 0.665 1
Al6 Al 0.500 0.000 0.513 1
Al7 Al 0.500 0.303 0.853 1
Al8 Al 0.500 0.318 0.165 1
Al9 Al 0.500 0.682 0.165 1
Al10 Al 0.500 0.697 0.853 1
Fe1 Fe 0.000 0.500 0.247 1
Fe2 Fe 0.500 0.000 0.747 1
Pd1 Pd 0.000 0.500 0.765 1
Pd2 Pd 0.500 0.000 0.265 1
```

Peak list (10 most intense, 5° ≤ 2θ ≤ 70°, low angle first)
2θ/deg, I_rel
15.21, 30.1
24.60, 43.4
29.96, 29.7
31.23, 100.0
34.51, 57.2
35.30, 31.3
44.60, 38.9
44.92, 29.1
47.66, 47.1
65.15, 24.9